[1]
Theoretical X-ray diffraction stick pattern
Compound: NdTaIr
Radiation: a wavelength of 1.5418 Å
Structure: a crystal structure in Alexandria, relaxed with PBE

Cell and atoms:
```
data_NdTaIr
_chemical_formula_sum 'Nd2 Ta2 Ir2'
_space_group_name_H-M_alt 'P 4/n m m'
_space_group_IT_number 129
_cell_length_a 4.554
_cell_length_b 4.554
_cell_length_c 6.781
_cell_angle_alpha 90.00
_cell_angle_beta 90.00
_cell_angle_gamma 90.00
loop_
_space_group_symop_operation_xyz
'x,y,z'
'-x,-y,-z'
'-y+1/2,x,z'
'y+1/2,-x,-z'
'-x+1/2,-y+1/2,z'
'x+1/2,y+1/2,-z'
'y,-x+1/2,z'
'-y,x+1/2,-z'
'x+1/2,-y,-z'
'-x+1/2,y,z'
'-y,-x,-z'
'y,x,z'
'-x,y+1/2,-z'
'x,-y+1/2,z'
'y+1/2,x+1/2,-z'
'-y+1/2,-x+1/2,z'
loop_
_atom_site_label
_atom_site_fract_x
_atom_site_fract_y
_atom_site_fract_z
Nd1 0.250 0.250 0.131
Ta1 0.250 0.750 0.500
Ir1 0.250 0.250 0.685
```

Main lines, low angle first (10 to 90 degrees two-theta):
13.1 deg, rel. 66, hkl 0 0 1
30.7 deg, rel. 61, hkl 1 1 1
32.9 deg, rel. 99, hkl 1 0 2
38.6 deg, rel. 83, hkl 1 1 2
39.6 deg, rel. 100, hkl 2 0 0
52.4 deg, rel. 54, hkl 2 1 2
57.2 deg, rel. 34, hkl 2 2 0
71.1 deg, rel. 28, hkl 3 1 2

=====

[2]
Theoretical X-ray diffraction stick pattern
Compound: Tb3NdIr2
Radiation: a wavelength of 1.5418 Å
Structure: a crystal structure in Alexandria, relaxed with PBE

Cell and atoms:
```
data_Tb3NdIr2
_chemical_formula_sum 'Tb12 Nd4 Ir8'
_space_group_name_H-M_alt 'C 1 2/m 1'
_space_group_IT_number 12
_cell_length_a 14.628
_cell_length_b 5.010
_cell_length_c 8.388
_cell_angle_alpha 90.00
_cell_angle_beta 95.52
_cell_angle_gamma 90.00
loop_
_space_group_symop_operation_xyz
'x,y,z'
'-x,-y,-z'
'-x,y,-z'
'x,-y,z'
'x+1/2,y+1/2,z'
'-x+1/2,-y+1/2,-z'
'-x+1/2,y+1/2,-z'
'x+1/2,-y+1/2,z'
loop_
_atom_site_label
_atom_site_fract_x
_atom_site_fract_y
_atom_site_fract_z
Tb1 0.066 0.000 0.334
Tb2 0.114 0.500 0.070
Tb3 0.174 0.500 0.522
Nd1 0.157 0.000 0.809
Ir1 0.031 0.500 0.731
Ir2 0.224 0.000 0.166
```

Main lines, low angle first (10 to 90 degrees two-theta):
33.3 deg, rel. 35, hkl 2 0 -3
34.6 deg, rel. 100, hkl 3 1 2
35.8 deg, rel. 56, hkl 0 2 0
36.4 deg, rel. 88, hkl 5 1 -1
49.8 deg, rel. 23, hkl 2 2 -3
63.6 deg, rel. 18, hkl 3 3 2
64.8 deg, rel. 17, hkl 5 3 -1
65.2 deg, rel. 16, hkl 8 2 1

=====

[3]
Theoretical X-ray diffraction stick pattern
Compound: Tb3NdIr
Radiation: a wavelength of 1.5418 Å
Structure: a crystal structure in Alexandria, relaxed with PBE

Cell and atoms:
```
data_Tb3NdIr
_chemical_formula_sum 'Tb6 Nd2 Ir2'
_space_group_name_H-M_alt 'P m n 21'
_space_group_IT_number 31
_cell_length_a 7.689
_cell_length_b 6.593
_cell_length_c 6.265
_cell_angle_alpha 90.00
_cell_angle_beta 90.00
_cell_angle_gamma 90.00
loop_
_space_group_symop_operation_xyz
'x,y,z'
'-x+1/2,-y,z+1/2'
'-x,y,z'
'x+1/2,-y,z+1/2'
loop_
_atom_site_label
_atom_site_fract_x
_atom_site_fract_y
_atom_site_fract_z
Tb1 0.000 0.154 0.000
Tb2 0.249 0.681 0.006
Nd1 0.000 0.853 0.511
Ir1 0.000 0.495 0.254
```

Main lines, low angle first (10 to 90 degrees two-theta):
18.3 deg, rel. 20, hkl 1 0 1
22.7 deg, rel. 28, hkl 1 1 1
30.5 deg, rel. 100, hkl 2 1 1
30.6 deg, rel. 48, hkl 0 2 1
39.5 deg, rel. 44, hkl 2 1 2
39.7 deg, rel. 21, hkl 0 2 2
47.7 deg, rel. 31, hkl 2 3 0
51.7 deg, rel. 23, hkl 2 1 3

=====

[4]
Theoretical X-ray diffraction stick pattern
Compound: Tb2Nd3Ir2
Radiation: a wavelength of 1.5418 Å
Structure: a crystal structure in Alexandria, relaxed with PBE

Cell and atoms:
```
data_Tb2Nd3Ir2
_chemical_formula_sum 'Tb4 Nd6 Ir4'
_space_group_name_H-M_alt 'C 1 2/m 1'
_space_group_IT_number 12
_cell_length_a 12.308
_cell_length_b 3.950
_cell_length_c 8.983
_cell_angle_alpha 90.00
_cell_angle_beta 115.12
_cell_angle_gamma 90.00
loop_
_space_group_symop_operation_xyz
'x,y,z'
'-x,-y,-z'
'-x,y,-z'
'x,-y,z'
'x+1/2,y+1/2,z'
'-x+1/2,-y+1/2,-z'
'-x+1/2,y+1/2,-z'
'x+1/2,-y+1/2,z'
loop_
_atom_site_label
_atom_site_fract_x
_atom_site_fract_y
_atom_site_fract_z
Tb1 0.172 0.000 0.312
Nd1 0.000 0.500 0.500
Nd2 0.116 0.500 0.927
Ir1 0.185 0.000 0.737
```

Main lines, low angle first (10 to 90 degrees two-theta):
30.2 deg, rel. 73, hkl 1 1 -2
31.4 deg, rel. 95, hkl 3 1 -1
32.3 deg, rel. 89, hkl 2 0 2
33.1 deg, rel. 93, hkl 3 1 0
33.6 deg, rel. 100, hkl 3 1 -2
34.9 deg, rel. 51, hkl 1 1 2
38.2 deg, rel. 74, hkl 1 1 -3
46.0 deg, rel. 69, hkl 0 2 0

=====

[5]
Theoretical X-ray diffraction stick pattern
Compound: Nd12TlIr6
Radiation: a wavelength of 1.5418 Å
Structure: a crystal structure in Alexandria, relaxed with PBE

Cell and atoms:
```
data_Nd12TlIr6
_chemical_formula_sum 'Nd24 Tl2 Ir12'
_space_group_name_H-M_alt 'I m -3'
_space_group_IT_number 204
_space_group_name_Hall '-I 2 2 3'
_cell_length_a 10.298
_cell_length_b 10.298
_cell_length_c 10.298
_cell_angle_alpha 90.00
_cell_angle_beta 90.00
_cell_angle_gamma 90.00
loop_
_atom_site_label
_atom_site_fract_x
_atom_site_fract_y
_atom_site_fract_z
Nd1 0.000 0.191 0.304
Tl1 0.000 0.000 0.000
Ir1 0.000 0.376 0.500
```

Main lines, low angle first (10 to 90 degrees two-theta):
17.2 deg, rel. 20, hkl 2 0 0
30.1 deg, rel. 23, hkl 2 2 2
32.5 deg, rel. 100, hkl 3 2 1
44.9 deg, rel. 38, hkl 5 1 0
53.4 deg, rel. 15, hkl 6 0 0
55.0 deg, rel. 19, hkl 5 3 2
63.9 deg, rel. 16, hkl 5 4 3
80.2 deg, rel. 17, hkl 7 5 0

=====

[6]
Theoretical X-ray diffraction stick pattern
Compound: NdTmIr4
Radiation: a wavelength of 1.5418 Å
Structure: a crystal structure in Alexandria, relaxed with PBE

Cell and atoms:
```
data_NdTmIr4
_chemical_formula_sum 'Nd4 Tm4 Ir16'
_space_group_name_H-M_alt 'F -4 3 m'
_space_group_IT_number 216
_space_group_name_Hall 'F -4 2 3'
_cell_length_a 7.619
_cell_length_b 7.619
_cell_length_c 7.619
_cell_angle_alpha 90.00
_cell_angle_beta 90.00
_cell_angle_gamma 90.00
loop_
_atom_site_label
_atom_site_fract_x
_atom_site_fract_y
_atom_site_fract_z
Nd1 0.000 0.000 0.000
Tm1 0.250 0.250 0.750
Ir1 0.125 0.125 0.375
```

Main lines, low angle first (10 to 90 degrees two-theta):
20.2 deg, rel. 12, hkl 1 1 1
33.3 deg, rel. 21, hkl 2 2 0
39.2 deg, rel. 100, hkl 3 1 1
41.0 deg, rel. 47, hkl 2 2 2
63.4 deg, rel. 33, hkl 5 1 1
69.8 deg, rel. 30, hkl 4 4 0
83.1 deg, rel. 12, hkl 5 3 3
84.3 deg, rel. 18, hkl 6 2 2

=====

[7]
Theoretical X-ray diffraction stick pattern
Compound: NdVIr
Radiation: a wavelength of 1.5418 Å
Structure: a crystal structure in Alexandria, relaxed with PBE

Cell and atoms:
```
data_NdVIr
_chemical_formula_sum 'Nd1 V1 Ir1'
_space_group_name_H-M_alt 'P 3 m 1'
_space_group_IT_number 156
_cell_length_a 4.1246
_cell_length_b 4.1246
_cell_length_c 4.5361
_cell_angle_alpha 90.00
_cell_angle_beta 90.00
_cell_angle_gamma 120.00
loop_
_space_group_symop_operation_xyz
'x,y,z'
'-y,x-y,z'
'-x+y,-x,z'
'-y,-x,z'
'-x+y,y,z'
'x,x-y,z'
loop_
_atom_site_label
_atom_site_fract_x
_atom_site_fract_y
_atom_site_fract_z
Nd1 0.0000 0.0000 0.0000
V1 0.3333 0.6667 0.4893
Ir1 0.6667 0.3333 0.5279
```

Main lines, low angle first (10 to 90 degrees two-theta):
24.9 deg, rel. 16, hkl 1 0 0
31.9 deg, rel. 100, hkl 0 1 1
39.7 deg, rel. 15, hkl 0 0 2
43.9 deg, rel. 36, hkl 1 1 0
55.3 deg, rel. 21, hkl 2 0 1
60.7 deg, rel. 27, hkl 1 1 2
67.2 deg, rel. 12, hkl 0 1 3
73.1 deg, rel. 19, hkl 1 2 1

=====

[8]
Theoretical X-ray diffraction stick pattern
Compound: Nd2Y3Ir2
Radiation: a wavelength of 1.5418 Å
Structure: a crystal structure in Alexandria, relaxed with PBE

Cell and atoms:
```
data_Nd2Y3Ir2
_chemical_formula_sum 'Nd4 Y6 Ir4'
_space_group_name_H-M_alt 'C 1 2/m 1'
_space_group_IT_number 12
_cell_length_a 12.383
_cell_length_b 3.825
_cell_length_c 9.120
_cell_angle_alpha 90.00
_cell_angle_beta 116.62
_cell_angle_gamma 90.00
loop_
_space_group_symop_operation_xyz
'x,y,z'
'-x,-y,-z'
'-x,y,-z'
'x,-y,z'
'x+1/2,y+1/2,z'
'-x+1/2,-y+1/2,-z'
'-x+1/2,y+1/2,-z'
'x+1/2,-y+1/2,z'
loop_
_atom_site_label
_atom_site_fract_x
_atom_site_fract_y
_atom_site_fract_z
Nd1 0.168 0.000 0.307
Y1 0.000 0.500 0.500
Y2 0.120 0.500 0.929
Ir1 0.174 0.000 0.741
```

Main lines, low angle first (10 to 90 degrees two-theta):
16.0 deg, rel. 24, hkl 2 0 0
21.8 deg, rel. 26, hkl 0 0 2
30.6 deg, rel. 35, hkl 1 1 -2
31.9 deg, rel. 24, hkl 3 1 -1
32.6 deg, rel. 31, hkl 2 0 2
33.8 deg, rel. 100, hkl 3 1 -2
38.4 deg, rel. 24, hkl 1 1 -3
47.5 deg, rel. 29, hkl 0 2 0

=====

What did the seventh record say?
Theoretical X-ray diffraction stick pattern
Compound: NdVIr
Radiation: a wavelength of 1.5418 Å
Structure: a crystal structure in Alexandria, relaxed with PBE

Cell and atoms:
```
data_NdVIr
_chemical_formula_sum 'Nd1 V1 Ir1'
_space_group_name_H-M_alt 'P 3 m 1'
_space_group_IT_number 156
_cell_length_a 4.1246
_cell_length_b 4.1246
_cell_length_c 4.5361
_cell_angle_alpha 90.00
_cell_angle_beta 90.00
_cell_angle_gamma 120.00
loop_
_space_group_symop_operation_xyz
'x,y,z'
'-y,x-y,z'
'-x+y,-x,z'
'-y,-x,z'
'-x+y,y,z'
'x,x-y,z'
loop_
_atom_site_label
_atom_site_fract_x
_atom_site_fract_y
_atom_site_fract_z
Nd1 0.0000 0.0000 0.0000
V1 0.3333 0.6667 0.4893
Ir1 0.6667 0.3333 0.5279
```

Main lines, low angle first (10 to 90 degrees two-theta):
24.9 deg, rel. 16, hkl 1 0 0
31.9 deg, rel. 100, hkl 0 1 1
39.7 deg, rel. 15, hkl 0 0 2
43.9 deg, rel. 36, hkl 1 1 0
55.3 deg, rel. 21, hkl 2 0 1
60.7 deg, rel. 27, hkl 1 1 2
67.2 deg, rel. 12, hkl 0 1 3
73.1 deg, rel. 19, hkl 1 2 1

=====

Repeat the second record exactly.
Theoretical X-ray diffraction stick pattern
Compound: Tb3NdIr2
Radiation: a wavelength of 1.5418 Å
Structure: a crystal structure in Alexandria, relaxed with PBE

Cell and atoms:
```
data_Tb3NdIr2
_chemical_formula_sum 'Tb12 Nd4 Ir8'
_space_group_name_H-M_alt 'C 1 2/m 1'
_space_group_IT_number 12
_cell_length_a 14.628
_cell_length_b 5.010
_cell_length_c 8.388
_cell_angle_alpha 90.00
_cell_angle_beta 95.52
_cell_angle_gamma 90.00
loop_
_space_group_symop_operation_xyz
'x,y,z'
'-x,-y,-z'
'-x,y,-z'
'x,-y,z'
'x+1/2,y+1/2,z'
'-x+1/2,-y+1/2,-z'
'-x+1/2,y+1/2,-z'
'x+1/2,-y+1/2,z'
loop_
_atom_site_label
_atom_site_fract_x
_atom_site_fract_y
_atom_site_fract_z
Tb1 0.066 0.000 0.334
Tb2 0.114 0.500 0.070
Tb3 0.174 0.500 0.522
Nd1 0.157 0.000 0.809
Ir1 0.031 0.500 0.731
Ir2 0.224 0.000 0.166
```

Main lines, low angle first (10 to 90 degrees two-theta):
33.3 deg, rel. 35, hkl 2 0 -3
34.6 deg, rel. 100, hkl 3 1 2
35.8 deg, rel. 56, hkl 0 2 0
36.4 deg, rel. 88, hkl 5 1 -1
49.8 deg, rel. 23, hkl 2 2 -3
63.6 deg, rel. 18, hkl 3 3 2
64.8 deg, rel. 17, hkl 5 3 -1
65.2 deg, rel. 16, hkl 8 2 1